# KAlCd2H
Computed powder X-ray diffraction pattern, copper Kα. Input: a cell relaxed with GGA-PBE.
Kinematic intensities with the Lorentz-polarization factor, no thermal factor.

Most intense lines, 5 to 70 degrees two-theta, in order of falling intensity:
| d [Å] | Rel. int. | hkl |
| --- | --- | --- |
| 2.690 | 100 | 1 1 1 |
| 2.916 | 64 | 2 0 0 |
| 4.124 | 43 | 1 1 0 |
| 1.637 | 42 | 3 1 1 |
| 2.062 | 23 | 2 2 0 |
| 2.253 | 18 | 2 0 1 |
| 1.516 | 16 | 2 0 2 |
| 3.549 | 16 | 0 0 1 |
| 1.345 | 11 | 2 2 2 |
| 1.844 | 10 | 3 1 0 |

Crystal structure
a b c (Å): 5.833 5.833 3.549
angles (deg): 90.00 90.00 90.00
Atoms (fractional coordinates):
K  0.000  0.000  0.000
Al  0.500  0.500  0.000
Cd  0.000  0.500  0.500
Cd  0.500  0.000  0.500
H  0.500  0.500  0.500